Simulated powder diffractogram
Compound: TbYHo5Th2
Radiation: Cu Kα (weighted mean of Kα1 and Kα2)
Structure: a GGA-PBE-relaxed structure
Lines closer than 0.1° are merged.

Principal peaks in the range 2θ = 10–80°, low angle first:
- 2θ = 28.70°, I 83
- 2θ = 28.91°, I 52
- 2θ = 30.93°, I 100
- 2θ = 34.49°, I 27
- 2θ = 37.13°, I 21
- 2θ = 37.58°, I 30
- 2θ = 43.07°, I 28
- 2θ = 52.52°, I 21

Structure:
Cell lengths 9.8821, 9.8821, 9.8821 Å; angles 127.54, 127.54, 77.37 degrees
Element x y z (fractional)
1 Tb 0.2500 0.7500 0.5000
2 Tb 0.7500 0.2500 0.5000
3 Y 0.2500 0.2500 0.0000
4 Y 0.7500 0.7500 0.0000
5 Ho 0.0000 0.0000 0.0000
6 Ho 0.0702 0.5702 0.9200
7 Ho 0.1503 0.0702 0.5000
8 Ho 0.3497 0.8497 0.9200
9 Ho 0.4298 0.3497 0.5000
10 Ho 0.5000 0.5000 0.0000
11 Ho 0.5702 0.6503 0.5000
12 Ho 0.6503 0.1503 0.0800
13 Ho 0.8497 0.9298 0.5000
14 Ho 0.9298 0.4298 0.0800
15 Th 0.1195 0.3805 0.5000
16 Th 0.3805 0.8805 0.2610
17 Th 0.6195 0.1195 0.7390
18 Th 0.8805 0.6195 0.5000

Simulated powder diffractogram
Compound: Lu2B6Os
Radiation: Cu Kα (weighted mean of Kα1 and Kα2)
Structure: a GGA-PBE-relaxed structure
Lines closer than 0.1° are merged.

Principal peaks in the range 2θ = 10–80°, low angle first:
- 2θ = 24.74°, I 100
- 2θ = 30.74°, I 64
- 2θ = 32.97°, I 29
- 2θ = 33.68°, I 26
- 2θ = 39.86°, I 80
- 2θ = 41.66°, I 35
- 2θ = 42.24°, I 33
- 2θ = 60.49°, I 29

Structure:
Cell lengths 9.0288, 11.3953, 3.5982 Å; angles 90.00, 90.00, 90.00 degrees
Element x y z (fractional)
1 Lu 0.0562 0.1264 0.0000
2 Lu 0.1801 0.4138 0.0000
3 Lu 0.3199 0.9138 0.0000
4 Lu 0.4438 0.6264 0.0000
5 Lu 0.5562 0.3736 0.0000
6 Lu 0.6801 0.0862 0.0000
7 Lu 0.8199 0.5862 0.0000
8 Lu 0.9438 0.8736 0.0000
9 B 0.0191 0.2869 0.5000
10 B 0.0530 0.5662 0.5000
11 B 0.1069 0.9704 0.5000
12 B 0.1305 0.8155 0.5000
13 B 0.2087 0.2338 0.5000
14 B 0.2489 0.5792 0.5000
15 B 0.2511 0.0792 0.5000
16 B 0.2913 0.7338 0.5000
17 B 0.3695 0.3155 0.5000
18 B 0.3931 0.4704 0.5000
19 B 0.4470 0.0662 0.5000
20 B 0.4809 0.7869 0.5000
21 B 0.5191 0.2131 0.5000
22 B 0.5530 0.9338 0.5000
23 B 0.6069 0.5296 0.5000
24 B 0.6305 0.6845 0.5000
25 B 0.7087 0.2662 0.5000
26 B 0.7489 0.9208 0.5000
27 B 0.7511 0.4208 0.5000
28 B 0.7913 0.7662 0.5000
29 B 0.8695 0.1845 0.5000
30 B 0.8931 0.0296 0.5000
31 B 0.9470 0.4338 0.5000
32 B 0.9809 0.7131 0.5000
33 Os 0.1371 0.6788 0.0000
34 Os 0.3629 0.1788 0.0000
35 Os 0.6371 0.8212 0.0000
36 Os 0.8629 0.3212 0.0000

Simulated powder diffractogram
Compound: PrDyTlPb
Radiation: Cu Kα (weighted mean of Kα1 and Kα2)
Structure: a GGA-PBE-relaxed structure
Lines closer than 0.1° are merged.

Principal peaks in the range 2θ = 10–80°, low angle first:
- 2θ = 31.87°, I 100
- 2θ = 35.21°, I 38
- 2θ = 40.27°, I 13
- 2θ = 50.65°, I 14
- 2θ = 54.55°, I 22
- 2θ = 61.10°, I 32
- 2θ = 66.61°, I 12
- 2θ = 67.96°, I 12

Structure:
Cell lengths 5.0976, 5.0976, 8.9576 Å; angles 90.00, 90.00, 90.00 degrees
Element x y z (fractional)
1 Pr 0.0000 0.0000 0.0000
2 Pr 0.5000 0.5000 0.5000
3 Dy 0.0000 0.0000 0.5000
4 Dy 0.5000 0.5000 0.0000
5 Tl 0.0000 0.5000 0.2500
6 Tl 0.5000 0.0000 0.7500
7 Pb 0.0000 0.5000 0.7500
8 Pb 0.5000 0.0000 0.2500

Simulated powder diffractogram
Compound: SrPaOs2O8
Radiation: Cu Kα (weighted mean of Kα1 and Kα2)
Structure: a GGA-PBE-relaxed structure
Lines closer than 0.1° are merged.

Principal peaks in the range 2θ = 10–80°, low angle first:
- 2θ = 21.50°, I 100
- 2θ = 30.52°, I 58
- 2θ = 30.67°, I 64
- 2θ = 37.77°, I 14
- 2θ = 43.82°, I 30
- 2θ = 49.21°, I 19
- 2θ = 49.42°, I 22
- 2θ = 54.47°, I 38

Structure:
Cell lengths 5.8293, 5.8293, 7.1933 Å; angles 90.00, 90.00, 120.00 degrees
Element x y z (fractional)
1 Sr 0.0000 0.0000 0.0000
2 Pa 0.0000 0.0000 0.5000
3 Os 0.3333 0.6667 0.8139
4 Os 0.6667 0.3333 0.1861
5 O 0.1636 0.3272 0.6994
6 O 0.1636 0.8364 0.6994
7 O 0.3272 0.1636 0.3006
8 O 0.3333 0.6667 0.0603
9 O 0.6667 0.3333 0.9397
10 O 0.6728 0.8364 0.6994
11 O 0.8364 0.1636 0.3006
12 O 0.8364 0.6728 0.3006

Simulated powder diffractogram
Compound: Sc4CdSe
Radiation: Cu Kα (weighted mean of Kα1 and Kα2)
Structure: a GGA-PBE-relaxed structure
Lines closer than 0.1° are merged.

Principal peaks in the range 2θ = 10–80°, low angle first:
- 2θ = 30.49°, I 57
- 2θ = 35.91°, I 100
- 2θ = 37.57°, I 19
- 2θ = 54.18°, I 21
- 2θ = 57.76°, I 31
- 2θ = 63.45°, I 23
- 2θ = 72.01°, I 9
- 2θ = 75.11°, I 10

Structure:
Cell lengths 5.8645, 5.8645, 5.8645 Å; angles 60.00, 60.00, 60.00 degrees
Element x y z (fractional)
1 Sc 0.3759 0.3759 0.3759
2 Sc 0.3759 0.3759 0.8724
3 Sc 0.3759 0.8724 0.3759
4 Sc 0.8724 0.3759 0.3759
5 Cd 0.7500 0.7500 0.7500
6 Se 0.0000 0.0000 0.0000

Simulated powder diffractogram
Compound: DyTh2Sn
Radiation: Cu Kα (weighted mean of Kα1 and Kα2)
Structure: a GGA-PBE-relaxed structure
Lines closer than 0.1° are merged.

Principal peaks in the range 2θ = 10–80°, low angle first:
- 2θ = 31.71°, I 100
- 2θ = 35.45°, I 19
- 2θ = 37.43°, I 32
- 2θ = 52.51°, I 25
- 2θ = 53.97°, I 11
- 2θ = 61.33°, I 16
- 2θ = 63.97°, I 28
- 2θ = 66.25°, I 13

Structure:
Cell lengths 4.8052, 4.8052, 5.0637 Å; angles 90.00, 90.00, 90.00 degrees
Element x y z (fractional)
1 Dy 0.0000 0.0000 0.0000
2 Th 0.0000 0.5000 0.5000
3 Th 0.5000 0.0000 0.5000
4 Sn 0.5000 0.5000 0.0000

Simulated powder diffractogram
Compound: Cd2SbTe
Radiation: Cu Kα (weighted mean of Kα1 and Kα2)
Structure: a GGA-PBE-relaxed structure
Lines closer than 0.1° are merged.

Principal peaks in the range 2θ = 10–80°, low angle first:
- 2θ = 29.43°, I 100
- 2θ = 41.45°, I 39
- 2θ = 42.75°, I 36
- 2θ = 52.75°, I 19
- 2θ = 61.06°, I 12
- 2θ = 68.27°, I 17
- 2θ = 70.14°, I 16
- 2θ = 77.39°, I 12

Structure:
Cell lengths 4.2307, 4.2307, 21.6788 Å; angles 90.00, 90.00, 120.00 degrees
Element x y z (fractional)
1 Cd 0.0000 0.0000 0.2504
2 Cd 0.0000 0.0000 0.7496
3 Cd 0.3333 0.6667 0.4163
4 Cd 0.3333 0.6667 0.9170
5 Cd 0.6667 0.3333 0.0830
6 Cd 0.6667 0.3333 0.5837
7 Sb 0.0000 0.0000 0.0000
8 Sb 0.3333 0.6667 0.6667
9 Sb 0.6667 0.3333 0.3333
10 Te 0.0000 0.0000 0.5000
11 Te 0.3333 0.6667 0.1667
12 Te 0.6667 0.3333 0.8333

Simulated powder diffractogram
Compound: Pr4MgPt2
Radiation: Cu Kα (weighted mean of Kα1 and Kα2)
Structure: a GGA-PBE-relaxed structure
Lines closer than 0.1° are merged.

Principal peaks in the range 2θ = 10–80°, low angle first:
- 2θ = 13.06°, I 100
- 2θ = 23.91°, I 43
- 2θ = 28.11°, I 63
- 2θ = 29.64°, I 73
- 2θ = 32.28°, I 54
- 2θ = 37.19°, I 53
- 2θ = 38.15°, I 30
- 2θ = 46.19°, I 25

Structure:
Cell lengths 9.7830, 8.8350, 7.9340 Å; angles 71.15, 58.72, 50.13 degrees
Element x y z (fractional)
1 Pr 0.1427 0.2636 0.3142
2 Pr 0.2204 0.6858 0.7364
3 Pr 0.2636 0.1427 0.7796
4 Pr 0.3142 0.7796 0.1427
5 Pr 0.6858 0.2204 0.8573
6 Pr 0.7364 0.8573 0.2204
7 Pr 0.7796 0.3142 0.2636
8 Pr 0.8573 0.7364 0.6858
9 Mg 0.3750 0.3750 0.3750
10 Mg 0.6250 0.6250 0.6250
11 Pt 0.0000 0.0000 0.0000
12 Pt 0.0000 0.0000 0.5000
13 Pt 0.0000 0.5000 0.0000
14 Pt 0.5000 0.0000 0.0000

Simulated powder diffractogram
Compound: YU2S6
Radiation: Cu Kα (weighted mean of Kα1 and Kα2)
Structure: a GGA-PBE-relaxed structure
Lines closer than 0.1° are merged.

Principal peaks in the range 2θ = 10–80°, low angle first:
- 2θ = 14.18°, I 36
- 2θ = 24.69°, I 100
- 2θ = 25.84°, I 97
- 2θ = 32.96°, I 21
- 2θ = 36.04°, I 80
- 2θ = 43.47°, I 43
- 2θ = 44.18°, I 73
- 2θ = 69.42°, I 25

Structure:
Cell lengths 7.2122, 7.2122, 4.1348 Å; angles 90.00, 90.00, 120.00 degrees
Element x y z (fractional)
1 Y 0.0000 0.0000 0.0000
2 U 0.3333 0.6667 0.2257
3 U 0.6667 0.3333 0.7743
4 S 0.0812 0.3843 0.7410
5 S 0.3031 0.9188 0.7410
6 S 0.3843 0.3031 0.2590
7 S 0.6157 0.6969 0.7410
8 S 0.6969 0.0812 0.2590
9 S 0.9188 0.6157 0.2590

Simulated powder diffractogram
Compound: Ba2AlCuO4
Radiation: Cu Kα (weighted mean of Kα1 and Kα2)
Structure: a GGA-PBE-relaxed structure
Lines closer than 0.1° are merged.

Principal peaks in the range 2θ = 10–80°, low angle first:
- 2θ = 19.40°, I 27
- 2θ = 29.74°, I 52
- 2θ = 33.00°, I 100
- 2θ = 35.75°, I 25
- 2θ = 42.55°, I 26
- 2θ = 54.88°, I 46
- 2θ = 60.89°, I 19
- 2θ = 70.03°, I 12

Structure:
Cell lengths 6.0089, 6.0089, 7.0568 Å; angles 90.00, 90.00, 90.00 degrees
Element x y z (fractional)
1 Ba 0.0000 0.0000 0.0000
2 Ba 0.0000 0.5000 0.2500
3 Ba 0.5000 0.0000 0.7500
4 Ba 0.5000 0.5000 0.5000
5 Al 0.0000 0.0000 0.5000
6 Al 0.5000 0.5000 0.0000
7 Cu 0.0000 0.5000 0.7500
8 Cu 0.5000 0.0000 0.2500
9 O 0.1456 0.2077 0.6353
10 O 0.2077 0.8544 0.3647
11 O 0.2923 0.6456 0.8647
12 O 0.3544 0.2923 0.1353
13 O 0.6456 0.7077 0.1353
14 O 0.7077 0.3544 0.8647
15 O 0.7923 0.1456 0.3647
16 O 0.8544 0.7923 0.6353

Simulated powder diffractogram
Compound: Cd2In4Hg2Pb3
Radiation: Cu Kα (weighted mean of Kα1 and Kα2)
Structure: a GGA-PBE-relaxed structure
Lines closer than 0.1° are merged.

Principal peaks in the range 2θ = 10–80°, low angle first:
- 2θ = 28.98°, I 24
- 2θ = 33.01°, I 100
- 2θ = 34.98°, I 66
- 2θ = 48.86°, I 26
- 2θ = 58.96°, I 19
- 2θ = 60.24°, I 28
- 2θ = 69.25°, I 12
- 2θ = 70.66°, I 14

Structure:
Cell lengths 5.4268, 5.4268, 12.2438 Å; angles 90.00, 90.00, 120.00 degrees
Element x y z (fractional)
1 Cd 0.3333 0.6667 0.1205
2 Cd 0.6667 0.3333 0.8795
3 In 0.3333 0.6667 0.3716
4 In 0.3333 0.6667 0.8776
5 In 0.6667 0.3333 0.1224
6 In 0.6667 0.3333 0.6284
7 Hg 0.3333 0.6667 0.6256
8 Hg 0.6667 0.3333 0.3744
9 Pb 0.0000 0.0000 0.2216
10 Pb 0.0000 0.0000 0.5000
11 Pb 0.0000 0.0000 0.7784

Simulated powder diffractogram
Compound: HoCd6Ag6
Radiation: Cu Kα (weighted mean of Kα1 and Kα2)
Structure: a GGA-PBE-relaxed structure
Lines closer than 0.1° are merged.

Principal peaks in the range 2θ = 10–80°, low angle first:
- 2θ = 31.44°, I 44
- 2θ = 36.57°, I 85
- 2θ = 36.78°, I 54
- 2θ = 36.89°, I 100
- 2θ = 37.04°, I 47
- 2θ = 40.86°, I 36
- 2θ = 41.43°, I 98
- 2θ = 65.60°, I 37

Structure:
Cell lengths 7.4920, 7.4920, 7.4920 Å; angles 136.13, 98.89, 97.16 degrees
Element x y z (fractional)
1 Ho 0.0000 0.0000 0.0000
2 Cd 0.1906 0.6906 0.5000
3 Cd 0.3440 0.0000 0.3440
4 Cd 0.3449 0.3449 0.0000
5 Cd 0.6551 0.6551 0.0000
6 Cd 0.6560 0.0000 0.6560
7 Cd 0.8094 0.3094 0.5000
8 Ag 0.0000 0.0000 0.5000
9 Ag 0.0000 0.5000 0.0000
10 Ag 0.2237 0.5000 0.7237
11 Ag 0.5000 0.0000 0.0000
12 Ag 0.5000 0.5000 0.5000
13 Ag 0.7763 0.5000 0.2763

Simulated powder diffractogram
Compound: Li4Ga2Au5
Radiation: Cu Kα (weighted mean of Kα1 and Kα2)
Structure: a GGA-PBE-relaxed structure
Lines closer than 0.1° are merged.

Principal peaks in the range 2θ = 10–80°, low angle first:
- 2θ = 25.04°, I 100
- 2θ = 25.31°, I 40
- 2θ = 27.04°, I 30
- 2θ = 29.00°, I 66
- 2θ = 38.68°, I 77
- 2θ = 40.06°, I 60
- 2θ = 42.21°, I 56
- 2θ = 60.08°, I 33

Structure:
Cell lengths 7.2076, 16.3575, 3.0795 Å; angles 90.00, 90.00, 90.00 degrees
Element x y z (fractional)
1 Li 0.0942 0.1372 0.0000
2 Li 0.2167 0.4404 0.0000
3 Li 0.2833 0.9404 0.0000
4 Li 0.4058 0.6372 0.0000
5 Li 0.5942 0.3628 0.0000
6 Li 0.7167 0.0596 0.0000
7 Li 0.7833 0.5596 0.0000
8 Li 0.9058 0.8628 0.0000
9 Ga 0.0128 0.6941 0.0000
10 Ga 0.4872 0.1941 0.0000
11 Ga 0.5128 0.8059 0.0000
12 Ga 0.9872 0.3059 0.0000
13 Au 0.0000 0.0000 0.5000
14 Au 0.1251 0.5710 0.5000
15 Au 0.2064 0.7960 0.5000
16 Au 0.2936 0.2960 0.5000
17 Au 0.3749 0.0710 0.5000
18 Au 0.5000 0.5000 0.5000
19 Au 0.6251 0.9290 0.5000
20 Au 0.7064 0.7040 0.5000
21 Au 0.7936 0.2040 0.5000
22 Au 0.8749 0.4290 0.5000